Starting from a PBE-relaxed structure, the powder diffraction line list of Li2PmTcN4 was simulated for Cu Kα, 1.54184 Å.
Lines closer than 0.1° are merged.

Main lines, low angle first (10° ≤ 2θ ≤ 80°):
2θ 23.2, rel. 661, (2 0 0); 2θ 24.4, rel. 1000, (0 1 1); 2θ 33.9, rel. 785, (2 1 1); 2θ 34.6, rel. 257, (0 2 0); 2θ 35.0, rel. 285, (0 0 2); 2θ 42.1, rel. 210, (2 2 0); 2θ 42.4, rel. 264, (2 0 2); 2θ 47.4, rel. 134, (4 0 0); 2θ 50.1, rel. 184, (0 2 2); 2θ 54.0, rel. 206, (4 1 1); 2θ 55.9, rel. 170, (2 2 2); 2θ 62.1, rel. 190, (2 1 3)

```
data_Li2PmTcN4
_space_group_name_H-M_alt 'P m n 21'
_space_group_IT_number 31
_cell_length_a 7.676
_cell_length_b 5.179
_cell_length_c 5.128
_cell_angle_alpha 90.00
_cell_angle_beta 90.00
_cell_angle_gamma 90.00
loop_
_space_group_symop_operation_xyz
'x,y,z'
'-x+1/2,-y,z+1/2'
'-x,y,z'
'x+1/2,-y,z+1/2'
loop_
_atom_site_label
_atom_site_fract_x
_atom_site_fract_y
_atom_site_fract_z
_atom_site_occupancy
Li1 0.248 0.213 0.000 1
Pm1 0.000 0.226 0.495 1
Tc1 0.000 0.693 0.015 1
N1 0.000 0.346 0.953 1
N2 0.000 0.722 0.371 1
N3 0.198 0.837 0.885 1
```

---

Starting from a PBE-relaxed structure, the powder diffraction line list of PmPrIr was simulated for Cu Kα, 1.54184 Å.
Lines closer than 0.1° are merged.

Main lines, low angle first (10° ≤ 2θ ≤ 80°):
2θ 17.5, rel. 483, (1 0 -1); 2θ 23.3, rel. 515, (0 1 1); 2θ 23.8, rel. 276, (1 0 1); 2θ 32.1, rel. 515, (0 1 2); 2θ 32.5, rel. 1000, (1 1 -2); 2θ 33.6, rel. 580, (2 0 0); 2θ 39.6, rel. 503, (0 2 0); 2θ 40.0, rel. 671, (1 1 2); 2θ 40.8, rel. 411, (2 1 -2); 2θ 49.3, rel. 216, (1 0 -4); 2θ 52.9, rel. 334, (2 2 0); 2θ 65.0, rel. 189, (1 2 -4)

```
data_PmPrIr
_space_group_name_H-M_alt 'P 1 21/m 1'
_space_group_IT_number 11
_cell_length_a 5.597
_cell_length_b 4.554
_cell_length_c 7.392
_cell_angle_alpha 90.00
_cell_angle_beta 107.77
_cell_angle_gamma 90.00
loop_
_space_group_symop_operation_xyz
'x,y,z'
'-x,-y,-z'
'-x,y+1/2,-z'
'x,-y+1/2,z'
loop_
_atom_site_label
_atom_site_fract_x
_atom_site_fract_y
_atom_site_fract_z
_atom_site_occupancy
Pm1 0.246 0.250 0.442 1
Pr1 0.240 0.250 0.951 1
Ir1 0.312 0.750 0.223 1
```

---

Starting from a PBE-relaxed structure, the powder diffraction line list of Dy5PtPb4 was simulated for Cu Kα, 1.54184 Å.
Lines closer than 0.1° are merged.

Main lines, low angle first (10° ≤ 2θ ≤ 80°):
2θ 28.6, rel. 464, (0 0 2); 2θ 29.1, rel. 1000, (3 1 0); 2θ 39.0, rel. 74, (2 2 2); 2θ 41.2, rel. 701, (3 1 2); 2θ 41.6, rel. 347, (2 4 0); 2θ 51.2, rel. 323, (2 4 2); 2θ 60.2, rel. 105, (6 2 0); 2θ 67.2, rel. 129, (3 1 4); 2θ 68.0, rel. 117, (6 2 2); 2θ 68.3, rel. 125, (1 7 0); 2θ 74.9, rel. 96, (2 4 4); 2θ 75.6, rel. 148, (1 7 2)

```
data_Dy5PtPb4
_space_group_name_H-M_alt 'I 4'
_space_group_IT_number 79
_cell_length_a 9.716
_cell_length_b 9.716
_cell_length_c 6.250
_cell_angle_alpha 90.00
_cell_angle_beta 90.00
_cell_angle_gamma 90.00
loop_
_space_group_symop_operation_xyz
'x,y,z'
'-y,x,z'
'-x,-y,z'
'y,-x,z'
'x+1/2,y+1/2,z+1/2'
'-y+1/2,x+1/2,z+1/2'
'-x+1/2,-y+1/2,z+1/2'
'y+1/2,-x+1/2,z+1/2'
loop_
_atom_site_label
_atom_site_fract_x
_atom_site_fract_y
_atom_site_fract_z
_atom_site_occupancy
Dy1 0.000 0.000 0.000 1
Dy2 0.098 0.730 0.404 1
Pt1 0.000 0.000 0.486 1
Pb1 0.083 0.693 0.901 1
```

---

Starting from a PBE-relaxed structure, the powder diffraction line list of TaV6Re was simulated for Cu Kα, 1.54184 Å.
Lines closer than 0.1° are merged.

Main lines, low angle first (10° ≤ 2θ ≤ 80°):
2θ 19.9, rel. 919, (1 1 0); 2θ 34.8, rel. 236, (3 0 0); 2θ 36.9, rel. 631, (0 1 2); 2θ 40.4, rel. 1000, (2 2 0); 2θ 47.2, rel. 628, (1 2 2); 2θ 54.4, rel. 142, (4 1 0); 2θ 55.9, rel. 375, (3 1 2); 2θ 63.8, rel. 251, (2 3 2); 2θ 71.2, rel. 91, (5 0 2); 2θ 73.5, rel. 160, (6 0 0); 2θ 78.3, rel. 138, (1 5 2); 2θ 78.6, rel. 133, (0 2 4)

```
data_TaV6Re
_space_group_name_H-M_alt 'R -3 m'
_space_group_IT_number 166
_space_group_name_Hall '-R 3 2"'
_cell_length_a 8.9260
_cell_length_b 8.9260
_cell_length_c 5.1272
_cell_angle_alpha 90.00
_cell_angle_beta 90.00
_cell_angle_gamma 120.00
loop_
_atom_site_label
_atom_site_fract_x
_atom_site_fract_y
_atom_site_fract_z
_atom_site_occupancy
Ta1 0.0000 0.0000 0.0000 1
V1 0.0046 0.5023 0.2502 1
Re1 0.0000 0.0000 0.5000 1
```

---

Starting from a PBE-relaxed structure, the powder diffraction line list of Mg8C was simulated for Cu Kα, 1.54184 Å.
Lines closer than 0.1° are merged.

Main lines, low angle first (10° ≤ 2θ ≤ 80°):
2θ 16.1, rel. 175, (2 0 0); 2θ 32.5, rel. 94, (4 0 0); 2θ 33.9, rel. 119, (2 1 1); 2θ 34.6, rel. 513, (3 3 0); 2θ 37.8, rel. 1000, (3 0 1); 2θ 41.8, rel. 171, (5 1 0); 2θ 48.2, rel. 100, (5 3 0); 2θ 50.7, rel. 165, (5 0 1); 2θ 59.0, rel. 97, (0 0 2); 2θ 61.5, rel. 167, (5 4 1); 2θ 64.0, rel. 159, (6 3 1); 2θ 70.2, rel. 114, (3 3 2)

```
data_Mg8C
_space_group_name_H-M_alt 'I 4/m m m'
_space_group_IT_number 139
_space_group_name_Hall '-I 4 2'
_cell_length_a 11.011
_cell_length_b 11.011
_cell_length_c 3.132
_cell_angle_alpha 90.00
_cell_angle_beta 90.00
_cell_angle_gamma 90.00
loop_
_atom_site_label
_atom_site_fract_x
_atom_site_fract_y
_atom_site_fract_z
_atom_site_occupancy
Mg1 0.000 0.333 0.000 1
Mg2 0.126 0.126 0.500 1
C1 0.000 0.000 0.000 1
```

---

Starting from a PBE-relaxed structure, the powder diffraction line list of MnCo4Cu10Sn5S20 was simulated for Cu Kα, 1.54184 Å.
Lines closer than 0.1° are merged.

Main lines, low angle first (10° ≤ 2θ ≤ 80°):
2θ 18.3, rel. 43, (1 0 5); 2θ 28.5, rel. 1000, (1 1 10); 2θ 33.0, rel. 51, (0 0 20); 2θ 33.1, rel. 102, (2 0 0); 2θ 47.4, rel. 386, (2 0 20); 2θ 47.6, rel. 195, (2 2 0); 2θ 56.2, rel. 134, (1 1 30); 2θ 56.4, rel. 274, (3 1 10); 2θ 59.1, rel. 42, (2 2 20); 2θ 69.5, rel. 59, (4 0 0); 2θ 76.6, rel. 103, (1 3 30); 2θ 76.8, rel. 53, (3 3 10)

```
data_MnCo4Cu10Sn5S20
_space_group_name_H-M_alt 'I -4'
_space_group_IT_number 82
_cell_length_a 5.408
_cell_length_b 5.408
_cell_length_c 54.344
_cell_angle_alpha 90.00
_cell_angle_beta 90.00
_cell_angle_gamma 90.00
loop_
_space_group_symop_operation_xyz
'x,y,z'
'y,-x,-z'
'-x,-y,z'
'-y,x,-z'
'x+1/2,y+1/2,z+1/2'
'y+1/2,-x+1/2,-z+1/2'
'-x+1/2,-y+1/2,z+1/2'
'-y+1/2,x+1/2,-z+1/2'
loop_
_atom_site_label
_atom_site_fract_x
_atom_site_fract_y
_atom_site_fract_z
_atom_site_occupancy
Mn1 0.000 0.000 0.000 1
Co1 0.000 0.000 0.200 1
Co2 0.000 0.000 0.399 1
Cu1 0.000 0.000 0.101 1
Cu2 0.000 0.000 0.300 1
Cu3 0.000 0.000 0.500 1
Cu4 0.000 0.500 0.151 1
Cu5 0.000 0.500 0.552 1
Cu6 0.000 0.500 0.750 1
Sn1 0.000 0.500 0.052 1
Sn2 0.000 0.500 0.250 1
Sn3 0.000 0.500 0.651 1
S1 0.231 0.740 0.376 1
S2 0.232 0.258 0.525 1
S3 0.232 0.740 0.177 1
S4 0.232 0.740 0.777 1
S5 0.233 0.740 0.578 1
```

---

Starting from a PBE-relaxed structure, the powder diffraction line list of Ba3AcPt2 was simulated for Cu Kα, 1.54184 Å.
Lines closer than 0.1° are merged.

Main lines, low angle first (10° ≤ 2θ ≤ 80°):
2θ 12.0, rel. 536, (2 0 -2); 2θ 22.7, rel. 206, (1 1 1); 2θ 23.8, rel. 82, (2 0 2); 2θ 27.7, rel. 1000, (1 1 -3); 2θ 36.4, rel. 178, (8 0 -4); 2θ 39.2, rel. 270, (5 1 1); 2θ 39.4, rel. 137, (0 2 0); 2θ 39.8, rel. 341, (2 0 -6); 2θ 41.2, rel. 110, (7 1 -1); 2θ 48.8, rel. 144, (6 2 -2); 2θ 57.2, rel. 80, (2 2 -6); 2θ 65.0, rel. 88, (3 1 -9)

```
data_Ba3AcPt2
_space_group_name_H-M_alt 'C 1 2/m 1'
_space_group_IT_number 12
_cell_length_a 19.816
_cell_length_b 4.576
_cell_length_c 14.937
_cell_angle_alpha 90.00
_cell_angle_beta 127.66
_cell_angle_gamma 90.00
loop_
_space_group_symop_operation_xyz
'x,y,z'
'-x,-y,-z'
'-x,y,-z'
'x,-y,z'
'x+1/2,y+1/2,z'
'-x+1/2,-y+1/2,-z'
'-x+1/2,y+1/2,-z'
'x+1/2,-y+1/2,z'
loop_
_atom_site_label
_atom_site_fract_x
_atom_site_fract_y
_atom_site_fract_z
_atom_site_occupancy
Ba1 0.062 0.000 0.196 1
Ba2 0.186 0.000 0.555 1
Ba3 0.190 0.500 0.053 1
Ac1 0.054 0.500 0.699 1
Pt1 0.120 0.000 0.861 1
Pt2 0.121 0.500 0.374 1
```